Starting from a structure optimized by DFT (PBE), the PXRD pattern of HfTi2Zn6 was simulated for Cu Kα, 1.54184 Å.
Kinematic intensities with the Lorentz-polarization factor, no thermal factor.

Atomic structure:
Unit cell a=7.2426 b=7.2426 c=7.2426 alpha=145.34 beta=133.56 gamma=59.23
Positions (direct):
Hf 0.0000 0.0000 0.0000
Ti 0.3108 0.8108 0.5000
Ti 0.5186 0.0186 0.5000
Zn 0.1757 0.4096 0.7661
Zn 0.3631 0.6121 0.7510
Zn 0.4612 0.2125 0.2487
Zn 0.6435 0.4096 0.2339
Zn 0.8611 0.6121 0.2490
Zn 0.9637 0.2125 0.7513

The 12 most intense peaks (10 to 90 degrees two-theta), sorted by position:
Position (°2θ)  I_rel
14.07  32.0
17.05  19.9
26.35  19.9
29.57  26.9
34.49  20.3
38.47  100.0
41.52  89.0
41.88  44.8
42.75  33.0
54.24  18.6
61.39  21.6
80.46  22.7


Starting from a structure optimized by DFT (PBE), the PXRD pattern of HfTiZn4 was simulated for Cu Kα, 1.54184 Å.
Kinematic intensities with the Lorentz-polarization factor, no thermal factor.

Atomic structure:
Unit cell a=3.0058 b=4.3131 c=7.4810 alpha=90.00 beta=90.00 gamma=90.00
Positions (direct):
Hf 0.0000 0.0000 0.0000
Ti 0.0000 0.5000 0.5000
Zn 0.5000 0.0000 0.3378
Zn 0.5000 0.0000 0.6622
Zn 0.5000 0.5000 0.1720
Zn 0.5000 0.5000 0.8280

The 12 most intense peaks (10 to 90 degrees two-theta), sorted by position:
Position (°2θ)  I_rel
11.83  28.2
20.59  9.6
23.81  8.3
31.66  8.6
32.09  7.4
38.43  100.0
41.86  75.6
58.12  28.9
61.72  7.7
74.16  27.3
76.45  11.9
77.38  23.1


Starting from a structure optimized by DFT (PBE), the PXRD pattern of HfTi3Zn8 was simulated for Cu Kα, 1.54184 Å.
Kinematic intensities with the Lorentz-polarization factor, no thermal factor.

Atomic structure:
Unit cell a=5.1162 b=5.1162 c=8.2159 alpha=90.00 beta=90.00 gamma=120.00
Positions (direct):
Hf 0.0000 0.0000 0.0000
Ti 0.0000 0.0000 0.3699
Ti 0.6667 0.3333 0.5001
Ti 0.6667 0.3333 0.8622
Zn 0.1617 0.3234 0.6815
Zn 0.1617 0.8383 0.6815
Zn 0.3333 0.6667 0.4344
Zn 0.3333 0.6667 0.9332
Zn 0.5052 0.0105 0.1860
Zn 0.5052 0.4948 0.1860
Zn 0.6766 0.8383 0.6815
Zn 0.9895 0.4948 0.1860

The 12 most intense peaks (10 to 90 degrees two-theta), sorted by position:
Position (°2θ)  I_rel
10.77  22.5
20.04  17.0
22.80  27.3
35.08  32.2
38.65  77.6
41.59  100.0
42.25  92.1
46.58  21.6
65.31  27.1
67.38  22.6
71.48  27.4
74.13  25.3


Starting from a structure optimized by DFT (PBE), the PXRD pattern of HfTi4Zn was simulated for Cu Kα, 1.54184 Å.
Kinematic intensities with the Lorentz-polarization factor, no thermal factor.

Atomic structure:
Unit cell a=2.9952 b=2.9952 c=11.8132 alpha=90.00 beta=90.00 gamma=90.00
Positions (direct):
Hf 0.0000 0.0000 0.0000
Ti 0.0000 0.0000 0.3476
Ti 0.0000 0.0000 0.6524
Ti 0.5000 0.5000 0.1861
Ti 0.5000 0.5000 0.8139
Zn 0.5000 0.5000 0.5000

The 12 most intense peaks (10 to 90 degrees two-theta), sorted by position:
Position (°2θ)  I_rel
15.00  26.9
30.80  22.6
33.55  14.4
37.73  100.0
42.69  36.5
45.50  7.6
46.10  12.1
61.96  11.4
64.63  16.9
74.88  24.5
79.77  7.3
80.60  8.8